Structure and computed X-ray powder pattern of Li17Co4O16 (a DFT-relaxed cell (GGA+U, Alexandria); Cu Kα (λ = 1.5418 Å)).
Intensities are scaled so that the largest is 1000.

```
data_Li17Co4O16
_chemical_formula_sum 'Li17 Co4 O16'
_cell_length_a 7.2703
_cell_length_b 6.6466
_cell_length_c 7.7658
_cell_angle_alpha 90.00
_cell_angle_beta 90.34
_cell_angle_gamma 90.00
_space_group_name_H-M_alt 'P 1 m 1'
_space_group_IT_number 6
_space_group_name_Hall 'P -2y'
loop_
_atom_site_label
_atom_site_fract_x
_atom_site_fract_y
_atom_site_fract_z
Li1 0.0000 0.0000 0.0000
Li2 0.0115 0.5000 0.4426
Li3 0.2449 0.2016 0.6202
Li4 0.2495 0.2345 0.2664
Li5 0.2996 0.2369 0.9516
Li6 0.4464 0.5000 0.6201
Li7 0.5428 0.5000 0.9259
Li8 0.5914 0.0000 0.1299
Li9 0.7218 0.2375 0.4484
Li10 0.8063 0.2932 0.1216
Li11 0.8103 0.2608 0.7630
Co1 0.0609 0.5000 0.9584
Co2 0.5063 0.5000 0.2552
Co3 0.5449 0.0000 0.7514
Co4 0.9915 0.0000 0.4367
O1 0.0733 0.2569 0.0797
O2 0.2345 0.0000 0.4184
O3 0.2778 0.5000 0.8242
O4 0.3055 0.0000 0.8175
O5 0.3093 0.5000 0.3974
O6 0.4926 0.2782 0.1224
O7 0.5624 0.2362 0.6410
O8 0.7397 0.0000 0.9031
O9 0.7427 0.5000 0.3296
O10 0.7847 0.0000 0.3075
O11 0.8069 0.5000 0.9116
O12 0.9737 0.2282 0.5547
```

Main lines, by angle (2θ from 10° to 90°):
(hkl), Position (°2θ), I/Imax
0 1 1, 17.6, 394
1 1 -1, 21.4, 1000
2 0 0, 24.5, 140
1 0 -2, 26.0, 284
1 0 2, 26.1, 266
0 2 0, 26.8, 153
0 2 2, 35.6, 281
0 1 3, 37.3, 132
1 2 -2, 37.7, 201
1 3 -1, 44.3, 123